Diffraction record for Ce3Ni2B2N3. The powder diffractogram is theoretical, not measured: it uses a GGA-PBE-relaxed structure and Cu Ka.
No peak broadening, texture or thermal motion is included.

Peak list (10 most intense, 10 to 80 degrees two-theta, by intensity)
Position (°2θ)	I (rel.)
28.25	100.0
35.51	88.5
33.45	68.2
51.08	60.5
36.63	41.3
39.86	35.9
63.75	35.4
44.81	30.2
59.39	26.8
62.44	23.3

Structural model:
a b c (Å): 10.422 10.422 10.422
angles (deg): 160.24 160.24 28.09
Element x y z (fractional)
Ce: 0.000 0.000 0.000
Ce: 0.373 0.373 0.000
Ce: 0.627 0.627 0.000
Ni: 0.250 0.750 0.500
Ni: 0.750 0.250 0.500
B: 0.192 0.192 0.000
B: 0.808 0.808 0.000
N: 0.119 0.119 0.000
N: 0.500 0.500 0.000
N: 0.881 0.881 0.000

---

Diffraction record for SiO2. The powder diffractogram is theoretical, not measured: it uses a GGA-PBE-relaxed structure and Cu Ka.
No peak broadening, texture or thermal motion is included.

Peak list (10 most intense, 10 to 80 degrees two-theta, by intensity)
Position (°2θ)	I (rel.)
21.33	100.0
26.50	98.8
15.04	55.3
38.41	49.9
34.26	43.6
63.71	24.0
54.08	14.8
54.56	13.5
10.62	13.2
37.61	12.7

Structural model:
a b c (Å): 11.781 11.781 4.371
angles (deg): 90.00 90.00 90.00
Element x y z (fractional)
Si: 0.012 0.168 0.224
Si: 0.012 0.332 0.776
Si: 0.168 0.012 0.776
Si: 0.168 0.488 0.224
Si: 0.332 0.012 0.224
Si: 0.332 0.488 0.776
Si: 0.488 0.168 0.776
Si: 0.488 0.332 0.224
Si: 0.512 0.668 0.776
Si: 0.512 0.832 0.224
Si: 0.668 0.512 0.224
Si: 0.668 0.988 0.776
Si: 0.832 0.512 0.776
Si: 0.832 0.988 0.224
Si: 0.988 0.668 0.224
Si: 0.988 0.832 0.776
O: 0.062 0.250 0.500
O: 0.062 0.750 0.000
O: 0.073 0.573 0.366
O: 0.073 0.927 0.634
O: 0.109 0.109 0.000
O: 0.109 0.391 0.000
O: 0.250 0.062 0.500
O: 0.250 0.438 0.500
O: 0.250 0.562 0.000
O: 0.250 0.938 0.000
O: 0.391 0.109 0.000
O: 0.391 0.391 0.000
O: 0.427 0.573 0.634
O: 0.427 0.927 0.366
O: 0.438 0.250 0.500
O: 0.438 0.750 0.000
O: 0.562 0.250 0.000
O: 0.562 0.750 0.500
O: 0.573 0.073 0.634
O: 0.573 0.427 0.366
O: 0.609 0.609 0.000
O: 0.609 0.891 0.000
O: 0.750 0.062 0.000
O: 0.750 0.438 0.000
O: 0.750 0.562 0.500
O: 0.750 0.938 0.500
O: 0.891 0.609 0.000
O: 0.891 0.891 0.000
O: 0.927 0.073 0.366
O: 0.927 0.427 0.634
O: 0.938 0.250 0.000
O: 0.938 0.750 0.500

---

Diffraction record for K2ZnF4. The powder diffractogram is theoretical, not measured: it uses a GGA-PBE-relaxed structure and Cu Ka.
No peak broadening, texture or thermal motion is included.

Peak list (10 most intense, 10 to 80 degrees two-theta, by intensity)
Position (°2θ)	I (rel.)
29.56	100.0
30.51	93.9
13.37	82.8
43.68	73.6
53.63	35.6
61.36	35.2
40.87	35.0
22.48	32.2
40.41	29.0
51.85	25.2

Structural model:
a b c (Å): 7.243 7.243 7.243
angles (deg): 146.75 146.75 47.73
Element x y z (fractional)
K: 0.145 0.145 0.000
K: 0.855 0.855 0.000
Zn: 0.500 0.500 0.000
F: 0.000 0.500 0.500
F: 0.345 0.345 0.000
F: 0.500 0.000 0.500
F: 0.655 0.655 0.000

---

Diffraction record for Li5CuF8. The powder diffractogram is theoretical, not measured: it uses a GGA-PBE-relaxed structure and Cu Ka.
No peak broadening, texture or thermal motion is included.

Peak list (10 most intense, 10 to 80 degrees two-theta, by intensity)
Position (°2θ)	I (rel.)
43.67	100.0
18.64	99.9
24.00	51.3
14.99	39.0
63.48	33.7
26.26	25.5
35.76	20.3
39.18	12.2
57.97	11.9
21.44	11.5

Structural model:
a b c (Å): 5.063 5.063 5.910
angles (deg): 90.00 90.00 109.88
Element x y z (fractional)
Li: 0.000 0.000 0.000
Li: 0.000 0.500 0.228
Li: 0.000 0.500 0.772
Li: 0.500 0.000 0.228
Li: 0.500 0.000 0.772
Cu: 0.000 0.000 0.500
F: 0.225 0.225 0.262
F: 0.225 0.225 0.738
F: 0.232 0.768 0.500
F: 0.236 0.764 0.000
F: 0.764 0.236 0.000
F: 0.768 0.232 0.500
F: 0.775 0.775 0.262
F: 0.775 0.775 0.738

---

Diffraction record for Ag4Sn3S8. The powder diffractogram is theoretical, not measured: it uses a GGA-PBE-relaxed structure and Cu Ka.
No peak broadening, texture or thermal motion is included.

Peak list (10 most intense, 10 to 80 degrees two-theta, by intensity)
Position (°2θ)	I (rel.)
32.84	100.0
47.13	63.0
28.34	51.8
55.92	21.8
78.42	20.2
58.64	19.3
53.82	9.9
33.89	9.3
11.47	8.2
68.86	8.0

Structural model:
a b c (Å): 10.907 10.907 10.907
angles (deg): 90.00 90.00 90.00
Element x y z (fractional)
Ag: 0.105 0.125 0.855
Ag: 0.125 0.625 0.875
Ag: 0.125 0.855 0.105
Ag: 0.145 0.605 0.375
Ag: 0.355 0.395 0.875
Ag: 0.375 0.145 0.605
Ag: 0.375 0.375 0.375
Ag: 0.395 0.875 0.355
Ag: 0.605 0.375 0.145
Ag: 0.625 0.645 0.895
Ag: 0.625 0.875 0.125
Ag: 0.645 0.895 0.625
Ag: 0.855 0.105 0.125
Ag: 0.875 0.125 0.625
Ag: 0.875 0.355 0.395
Ag: 0.895 0.625 0.645
Sn: 0.114 0.364 0.125
Sn: 0.125 0.114 0.364
Sn: 0.136 0.875 0.614
Sn: 0.364 0.125 0.114
Sn: 0.375 0.886 0.864
Sn: 0.386 0.636 0.625
Sn: 0.614 0.136 0.875
Sn: 0.625 0.386 0.636
Sn: 0.636 0.625 0.386
Sn: 0.864 0.375 0.886
Sn: 0.875 0.614 0.136
Sn: 0.886 0.864 0.375
S: 0.101 0.362 0.888
S: 0.112 0.351 0.362
S: 0.112 0.601 0.138
S: 0.121 0.121 0.121
S: 0.129 0.871 0.371
S: 0.138 0.112 0.601
S: 0.138 0.888 0.851
S: 0.149 0.638 0.612
S: 0.351 0.362 0.112
S: 0.362 0.112 0.351
S: 0.362 0.888 0.101
S: 0.371 0.129 0.871
S: 0.379 0.879 0.621
S: 0.388 0.399 0.638
S: 0.388 0.649 0.862
S: 0.399 0.638 0.388
S: 0.601 0.138 0.112
S: 0.612 0.149 0.638
S: 0.612 0.899 0.862
S: 0.621 0.379 0.879
S: 0.629 0.629 0.629
S: 0.638 0.388 0.399
S: 0.638 0.612 0.149
S: 0.649 0.862 0.388
S: 0.851 0.138 0.888
S: 0.862 0.388 0.649
S: 0.862 0.612 0.899
S: 0.871 0.371 0.129
S: 0.879 0.621 0.379
S: 0.888 0.101 0.362
S: 0.888 0.851 0.138
S: 0.899 0.862 0.612

---

Diffraction record for MgPd2. The powder diffractogram is theoretical, not measured: it uses a GGA-PBE-relaxed structure and Cu Ka.
No peak broadening, texture or thermal motion is included.

Peak list (10 most intense, 10 to 80 degrees two-theta, by intensity)
Position (°2θ)	I (rel.)
39.36	100.0
39.04	65.9
46.77	36.9
43.14	34.6
65.50	26.2
40.62	25.5
28.86	24.9
27.10	14.5
23.83	11.8
34.65	11.8

Structural model:
a b c (Å): 5.526 4.194 8.194
angles (deg): 90.00 90.00 90.00
Element x y z (fractional)
Mg: 0.167 0.250 0.098
Mg: 0.333 0.750 0.598
Mg: 0.667 0.250 0.402
Mg: 0.833 0.750 0.902
Pd: 0.070 0.250 0.764
Pd: 0.158 0.250 0.427
Pd: 0.342 0.750 0.927
Pd: 0.430 0.750 0.264
Pd: 0.570 0.250 0.736
Pd: 0.658 0.250 0.073
Pd: 0.842 0.750 0.573
Pd: 0.930 0.750 0.236

---

Diffraction record for Li3Th. The powder diffractogram is theoretical, not measured: it uses a GGA-PBE-relaxed structure and Cu Ka.
No peak broadening, texture or thermal motion is included.

Peak list (10 most intense, 10 to 80 degrees two-theta, by intensity)
Position (°2θ)	I (rel.)
21.53	100.0
41.91	55.3
24.91	53.0
35.52	51.8
56.07	24.1
57.66	22.2
63.78	19.6
79.28	18.1
68.15	18.1
43.87	16.2

Structural model:
a b c (Å): 5.055 5.055 5.055
angles (deg): 60.00 60.00 60.00
Element x y z (fractional)
Li: 0.000 0.000 0.000
Li: 0.250 0.250 0.250
Li: 0.750 0.750 0.750
Th: 0.500 0.500 0.500

---

Diffraction record for GdBiPd. The powder diffractogram is theoretical, not measured: it uses a GGA-PBE-relaxed structure and Cu Ka.
No peak broadening, texture or thermal motion is included.

Peak list (10 most intense, 10 to 80 degrees two-theta, by intensity)
Position (°2θ)	I (rel.)
37.26	100.0
67.19	36.0
26.11	35.9
53.72	17.6
22.56	15.8
60.68	14.7
79.42	11.4
46.07	10.9
44.00	8.2
58.99	3.5

Structural model:
a b c (Å): 4.826 4.826 4.826
angles (deg): 60.00 60.00 60.00
Element x y z (fractional)
Gd: 0.000 0.000 0.000
Bi: 0.500 0.500 0.500
Pd: 0.250 0.250 0.250

---

Diffraction record for Sc2Sb. The powder diffractogram is theoretical, not measured: it uses a GGA-PBE-relaxed structure and Cu Ka.
No peak broadening, texture or thermal motion is included.

Peak list (10 most intense, 10 to 80 degrees two-theta, by intensity)
Position (°2θ)	I (rel.)
37.80	100.0
23.89	72.1
42.75	50.9
29.87	46.0
32.02	45.4
40.51	33.9
34.23	25.8
75.01	24.6
55.87	23.2
22.63	22.0

Structural model:
a b c (Å): 4.230 4.230 7.858
angles (deg): 90.00 90.00 90.00
Element x y z (fractional)
Sc: 0.250 0.250 0.155
Sc: 0.250 0.750 0.500
Sc: 0.750 0.250 0.500
Sc: 0.750 0.750 0.845
Sb: 0.250 0.250 0.780
Sb: 0.750 0.750 0.220

---

Repeat the ninth record exactly.
Diffraction record for Sc2Sb. The powder diffractogram is theoretical, not measured: it uses a GGA-PBE-relaxed structure and Cu Ka.
No peak broadening, texture or thermal motion is included.

Peak list (10 most intense, 10 to 80 degrees two-theta, by intensity)
Position (°2θ)	I (rel.)
37.80	100.0
23.89	72.1
42.75	50.9
29.87	46.0
32.02	45.4
40.51	33.9
34.23	25.8
75.01	24.6
55.87	23.2
22.63	22.0

Structural model:
a b c (Å): 4.230 4.230 7.858
angles (deg): 90.00 90.00 90.00
Element x y z (fractional)
Sc: 0.250 0.250 0.155
Sc: 0.250 0.750 0.500
Sc: 0.750 0.250 0.500
Sc: 0.750 0.750 0.845
Sb: 0.250 0.250 0.780
Sb: 0.750 0.750 0.220

---

Q: Number 2 is which compound?
A: SiO2

---

Please write out number 2 again, unchanged.
Diffraction record for SiO2. The powder diffractogram is theoretical, not measured: it uses a GGA-PBE-relaxed structure and Cu Ka.
No peak broadening, texture or thermal motion is included.

Peak list (10 most intense, 10 to 80 degrees two-theta, by intensity)
Position (°2θ)	I (rel.)
21.33	100.0
26.50	98.8
15.04	55.3
38.41	49.9
34.26	43.6
63.71	24.0
54.08	14.8
54.56	13.5
10.62	13.2
37.61	12.7

Structural model:
a b c (Å): 11.781 11.781 4.371
angles (deg): 90.00 90.00 90.00
Element x y z (fractional)
Si: 0.012 0.168 0.224
Si: 0.012 0.332 0.776
Si: 0.168 0.012 0.776
Si: 0.168 0.488 0.224
Si: 0.332 0.012 0.224
Si: 0.332 0.488 0.776
Si: 0.488 0.168 0.776
Si: 0.488 0.332 0.224
Si: 0.512 0.668 0.776
Si: 0.512 0.832 0.224
Si: 0.668 0.512 0.224
Si: 0.668 0.988 0.776
Si: 0.832 0.512 0.776
Si: 0.832 0.988 0.224
Si: 0.988 0.668 0.224
Si: 0.988 0.832 0.776
O: 0.062 0.250 0.500
O: 0.062 0.750 0.000
O: 0.073 0.573 0.366
O: 0.073 0.927 0.634
O: 0.109 0.109 0.000
O: 0.109 0.391 0.000
O: 0.250 0.062 0.500
O: 0.250 0.438 0.500
O: 0.250 0.562 0.000
O: 0.250 0.938 0.000
O: 0.391 0.109 0.000
O: 0.391 0.391 0.000
O: 0.427 0.573 0.634
O: 0.427 0.927 0.366
O: 0.438 0.250 0.500
O: 0.438 0.750 0.000
O: 0.562 0.250 0.000
O: 0.562 0.750 0.500
O: 0.573 0.073 0.634
O: 0.573 0.427 0.366
O: 0.609 0.609 0.000
O: 0.609 0.891 0.000
O: 0.750 0.062 0.000
O: 0.750 0.438 0.000
O: 0.750 0.562 0.500
O: 0.750 0.938 0.500
O: 0.891 0.609 0.000
O: 0.891 0.891 0.000
O: 0.927 0.073 0.366
O: 0.927 0.427 0.634
O: 0.938 0.250 0.000
O: 0.938 0.750 0.500